The following is a computed powder diffractogram of PrFe4As12. It was derived from a cell relaxed with PBE, using λ = 1.5418 Å (Cu Kα).
Peak positions follow from Bragg's law for the DFT cell and can differ from measured ones.

Main lines, sorted by position (5° ≤ 2θ ≤ 70°):
d (Å), 2θ (°), intensity
2.964, 30.2, 72
2.651, 33.8, 1000
2.240, 40.3, 501
2.096, 43.2, 26
1.874, 48.6, 128
1.711, 53.6, 283
1.644, 55.9, 310
1.438, 64.9, 96
1.397, 67.0, 91
1.360, 69.1, 50

Cell and atoms:
Cell lengths 7.2592, 7.2592, 7.2592 Å; angles 109.47, 109.47, 109.47 degrees
Atoms (fractional coordinates):
Pr: 0.0000 0.0000 0.0000
Fe: 0.0000 0.0000 0.5000
Fe: 0.0000 0.5000 0.0000
Fe: 0.5000 0.0000 0.0000
Fe: 0.5000 0.5000 0.5000
As: 0.1567 0.3427 0.4994
As: 0.1567 0.6573 0.8140
As: 0.1860 0.8433 0.3427
As: 0.3427 0.1860 0.8433
As: 0.3427 0.4994 0.1567
As: 0.4994 0.1567 0.3427
As: 0.5006 0.8433 0.6573
As: 0.6573 0.5006 0.8433
As: 0.6573 0.8140 0.1567
As: 0.8140 0.1567 0.6573
As: 0.8433 0.3427 0.1860
As: 0.8433 0.6573 0.5006



The following is a computed powder diffractogram of Pr6Fe13As. It was derived from a cell relaxed with PBE, using λ = 1.5418 Å (Cu Kα).
Peak positions follow from Bragg's law for the DFT cell and can differ from measured ones.

Main lines, sorted by position (5° ≤ 2θ ≤ 70°):
d (Å), 2θ (°), intensity
11.580, 7.6, 346
3.252, 27.4, 681
2.835, 31.6, 1000
2.535, 35.4, 735
2.347, 38.4, 570
2.322, 38.8, 283
2.091, 43.3, 346
1.937, 46.9, 367
1.793, 50.9, 376
1.582, 58.3, 283

Cell and atoms:
Cell lengths 12.8930, 12.8930, 12.8930 Å; angles 143.78, 143.78, 52.16 degrees
Atoms (fractional coordinates):
Pr: 0.0230 0.5230 0.1701
Pr: 0.1069 0.1069 0.0000
Pr: 0.1471 0.9770 0.5000
Pr: 0.3529 0.8529 0.8299
Pr: 0.3931 0.3931 0.0000
Pr: 0.4770 0.6471 0.5000
Pr: 0.5230 0.3529 0.5000
Pr: 0.6069 0.6069 0.0000
Pr: 0.6471 0.1471 0.1701
Pr: 0.8529 0.0230 0.5000
Pr: 0.8931 0.8931 0.0000
Pr: 0.9770 0.4770 0.8299
Fe: 0.0000 0.5000 0.5000
Fe: 0.0186 0.2927 0.5000
Fe: 0.0663 0.2093 0.2756
Fe: 0.1199 0.6199 0.8581
Fe: 0.2073 0.4814 0.5000
Fe: 0.2093 0.9337 0.1430
Fe: 0.2382 0.7382 0.8581
Fe: 0.2618 0.1199 0.5000
Fe: 0.2907 0.4337 0.7244
Fe: 0.2927 0.7927 0.2741
Fe: 0.3801 0.2382 0.5000
Fe: 0.4337 0.7093 0.1430
Fe: 0.4814 0.9814 0.2741
Fe: 0.5000 0.0000 0.5000
Fe: 0.5186 0.0186 0.7259
Fe: 0.5663 0.2907 0.8570
Fe: 0.6199 0.7618 0.5000
Fe: 0.7073 0.2073 0.7259
Fe: 0.7093 0.5663 0.2756
Fe: 0.7382 0.8801 0.5000
Fe: 0.7618 0.2618 0.1419
Fe: 0.7907 0.0663 0.8570
Fe: 0.7927 0.5186 0.5000
Fe: 0.8801 0.3801 0.1419
Fe: 0.9337 0.7907 0.7244
Fe: 0.9814 0.7073 0.5000
As: 0.2500 0.2500 0.0000
As: 0.7500 0.7500 0.0000



The following is a computed powder diffractogram of FeSbAs. It was derived from a cell relaxed with PBE, using λ = 1.5418 Å (Cu Kα).
Peak positions follow from Bragg's law for the DFT cell and can differ from measured ones.

Main lines, sorted by position (5° ≤ 2θ ≤ 70°):
d (Å), 2θ (°), intensity
2.743, 32.6, 163
2.730, 32.8, 988
2.675, 33.5, 571
2.542, 35.3, 388
2.460, 36.5, 1000
1.954, 46.5, 657
1.778, 51.4, 261
1.724, 53.1, 436
1.719, 53.3, 317
1.525, 60.7, 169

Cell and atoms:
Cell lengths 3.0510, 5.5633, 6.2673 Å; angles 90.00, 90.00, 90.00 degrees
Atoms (fractional coordinates):
Fe: 0.0000 0.2266 0.0000
Fe: 0.5000 0.7734 0.5000
Sb: 0.0000 0.4293 0.3654
Sb: 0.5000 0.5707 0.8654
As: 0.0000 0.0582 0.6509
As: 0.5000 0.9418 0.1509



The following is a computed powder diffractogram of SrFe2As2. It was derived from a cell relaxed with PBE, using λ = 1.5418 Å (Cu Kα).
Peak positions follow from Bragg's law for the DFT cell and can differ from measured ones.

Main lines, sorted by position (5° ≤ 2θ ≤ 70°):
d (Å), 2θ (°), intensity
5.812, 15.2, 167
2.809, 31.9, 147
2.774, 32.3, 1000
2.529, 35.5, 383
2.020, 44.9, 186
2.006, 45.2, 74
1.986, 45.7, 447
1.615, 57.0, 384
1.595, 57.8, 341
1.405, 66.6, 139

Cell and atoms:
Cell lengths 6.4552, 6.4552, 6.4552 Å; angles 144.15, 144.15, 51.60 degrees
Atoms (fractional coordinates):
Sr: 0.0000 0.0000 0.0000
Fe: 0.2500 0.7500 0.5000
Fe: 0.7500 0.2500 0.5000
As: 0.3527 0.3527 0.0000
As: 0.6473 0.6473 0.0000



The following is a computed powder diffractogram of TaFeAs. It was derived from a cell relaxed with PBE, using λ = 1.5418 Å (Cu Kα).
Peak positions follow from Bragg's law for the DFT cell and can differ from measured ones.

Main lines, sorted by position (5° ≤ 2θ ≤ 70°):
d (Å), 2θ (°), intensity
3.328, 26.8, 222
2.392, 37.6, 769
2.359, 38.2, 183
2.289, 39.4, 1000
2.219, 40.7, 330
2.015, 45.0, 152
2.006, 45.2, 186
1.883, 48.3, 307
1.558, 59.3, 130
1.436, 65.0, 166

Cell and atoms:
Cell lengths 6.3041, 3.7662, 7.1113 Å; angles 90.00, 90.00, 90.00 degrees
Atoms (fractional coordinates):
Ta: 0.0219 0.2500 0.1798
Ta: 0.4781 0.7500 0.6798
Ta: 0.5219 0.2500 0.3202
Ta: 0.9781 0.7500 0.8202
Fe: 0.1414 0.2500 0.5621
Fe: 0.3586 0.7500 0.0621
Fe: 0.6414 0.2500 0.9379
Fe: 0.8586 0.7500 0.4379
As: 0.2276 0.7500 0.3798
As: 0.2724 0.2500 0.8798
As: 0.7276 0.7500 0.1202
As: 0.7724 0.2500 0.6202



The following is a computed powder diffractogram of TiFe2As. It was derived from a cell relaxed with PBE, using λ = 1.5418 Å (Cu Kα).
Peak positions follow from Bragg's law for the DFT cell and can differ from measured ones.

Main lines, sorted by position (5° ≤ 2θ ≤ 70°):
d (Å), 2θ (°), intensity
3.344, 26.7, 39
2.048, 44.2, 1000
1.746, 52.4, 22
1.448, 64.3, 151

Cell and atoms:
Cell lengths 4.0956, 4.0956, 4.0956 Å; angles 60.00, 60.00, 60.00 degrees
Atoms (fractional coordinates):
Ti: 0.0000 0.0000 0.0000
Fe: 0.2500 0.2500 0.2500
Fe: 0.7500 0.7500 0.7500
As: 0.5000 0.5000 0.5000